Record 1
Diffraction record for PrAlGaIr. The powder diffractogram is calculated, not measured: it uses a cell relaxed with PBE and Cu Kα.

Structural model:
a b c (Å): 4.362 4.362 15.540
angles (deg): 90.00 90.00 120.00
Atoms (fractional coordinates):
Pr (0.000, 0.000, 0.000)
Pr (0.333, 0.667, 0.667)
Pr (0.667, 0.333, 0.333)
Al (0.000, 0.000, 0.534)
Al (0.333, 0.667, 0.201)
Al (0.667, 0.333, 0.868)
Ga (0.000, 0.000, 0.797)
Ga (0.333, 0.667, 0.463)
Ga (0.667, 0.333, 0.130)
Ir (0.000, 0.000, 0.194)
Ir (0.333, 0.667, 0.861)
Ir (0.667, 0.333, 0.528)

Principal peaks in the range 10° ≤ 2θ ≤ 90°, in order of rising 2θ:
2θ/deg	I_rel
24.25	100.0
33.07	52.2
34.63	21.4
37.47	99.6
41.40	90.7
55.04	34.4
57.06	29.5
72.90	28.3



Record 2
Diffraction record for CdAg4Cl7. The powder diffractogram is calculated, not measured: it uses a cell relaxed with PBE and Cu Kα.

Structural model:
a b c (Å): 10.366 10.366 7.742
angles (deg): 90.00 90.00 59.46
Atoms (fractional coordinates):
Cd (0.248, 0.752, 0.750)
Cd (0.752, 0.248, 0.250)
Ag (0.033, 0.735, 0.250)
Ag (0.265, 0.967, 0.250)
Ag (0.314, 0.314, 0.000)
Ag (0.314, 0.314, 0.500)
Ag (0.686, 0.686, 0.000)
Ag (0.686, 0.686, 0.500)
Ag (0.735, 0.033, 0.750)
Ag (0.967, 0.265, 0.750)
Cl (0.000, 0.000, 0.250)
Cl (0.000, 0.000, 0.750)
Cl (0.198, 0.600, 0.515)
Cl (0.198, 0.600, 0.985)
Cl (0.216, 0.232, 0.250)
Cl (0.232, 0.216, 0.750)
Cl (0.400, 0.802, 0.515)
Cl (0.400, 0.802, 0.985)
Cl (0.600, 0.198, 0.015)
Cl (0.600, 0.198, 0.485)
Cl (0.768, 0.784, 0.250)
Cl (0.784, 0.768, 0.750)
Cl (0.802, 0.400, 0.015)
Cl (0.802, 0.400, 0.485)

Principal peaks in the range 10° ≤ 2θ ≤ 90°, in order of rising 2θ:
2θ/deg	I_rel
19.89	72.8
20.62	49.8
20.74	24.3
25.07	67.6
28.75	100.0
43.30	50.7
46.69	22.7
46.97	40.5